Diffraction record for SrEu3. The X-ray diffraction stick pattern is computed, not measured: it uses a structure optimized by DFT (GGA-PBE) and Cu Kα X-rays.
No peak broadening, texture or thermal motion is included.

Main lines, most intense first (2θ from 10° to 90°):
- hkl 1 1 2, 2θ = 27.12°, I 100
- hkl 2 0 0, 2θ = 31.81°, I 33
- hkl 3 1 2, 2θ = 53.86°, I 30
- hkl 2 0 4, 2θ = 44.72°, I 26
- hkl 0 0 4, 2θ = 30.61°, I 18
- hkl 1 1 6, 2θ = 52.31°, I 16
- hkl 2 2 4, 2θ = 55.92°, I 13
- hkl 3 1 6, 2θ = 71.87°, I 13
- hkl 2 2 0, 2θ = 45.60°, I 12
- hkl 4 2 4, 2θ = 83.69°, I 9

Crystal structure
a = 5.627 Å, b = 5.627 Å, c = 11.684 Å
α = 90.00°, β = 90.00°, γ = 90.00°
Space group I4/mmm (No. 139)
Asymmetric unit:
Sr 0.000 0.000 0.000 x2
Eu 0.000 0.000 0.500 x2
Eu 0.000 0.500 0.250 x4

=====

Diffraction record for Ce2In3Ru2. The X-ray diffraction stick pattern is computed, not measured: it uses a structure optimized by DFT (GGA-PBE) and Cu Kα X-rays.
No peak broadening, texture or thermal motion is included.

Main lines, most intense first (2θ from 10° to 90°):
- hkl 1 1 2, 2θ = 30.84°, I 100
- hkl 2 1 2, 2θ = 32.09°, I 96
- hkl 0 2 0, 2θ = 38.22°, I 85
- hkl 5 1 1, 2θ = 33.83°, I 82
- hkl 7 0 1, 2θ = 37.50°, I 36
- hkl 6 1 0, 2θ = 35.90°, I 33
- hkl 4 0 3, 2θ = 41.37°, I 29
- hkl 12 1 0, 2θ = 66.34°, I 28
- hkl 2 1 3, 2θ = 42.07°, I 27
- hkl 8 1 3, 2θ = 58.98°, I 26

Crystal structure
a = 17.714 Å, b = 4.709 Å, c = 7.524 Å
α = 90.00°, β = 90.00°, γ = 90.00°
Space group Pnma (No. 62)
Asymmetric unit:
Ce 0.076 0.250 0.053 x4
Ce 0.146 0.250 0.563 x4
In 0.033 0.750 0.374 x4
In 0.185 0.750 0.858 x4
In 0.194 0.750 0.269 x4
Ru 0.032 0.750 0.761 x4
Ru 0.211 0.250 0.066 x4

=====

Diffraction record for HfRe2. The X-ray diffraction stick pattern is computed, not measured: it uses a structure optimized by DFT (GGA-PBE) and Cu Kα X-rays.
No peak broadening, texture or thermal motion is included.

Main lines, most intense first (2θ from 10° to 90°):
- hkl 1 1 2, 2θ = 40.00°, I 100
- hkl 2 0 1, 2θ = 40.80°, I 87
- hkl 1 0 3, 2θ = 36.85°, I 67
- hkl 2 0 5, 2θ = 67.94°, I 32
- hkl 2 2 0, 2θ = 71.42°, I 28
- hkl 1 1 0, 2θ = 33.93°, I 26
- hkl 3 0 2, 2θ = 64.82°, I 25
- hkl 2 1 3, 2θ = 62.64°, I 25
- hkl 0 0 4, 2θ = 41.78°, I 21
- hkl 2 0 2, 2θ = 44.82°, I 21

Crystal structure
a = 5.2834 Å, b = 5.2834 Å, c = 8.6474 Å
α = 90.00°, β = 90.00°, γ = 120.00°
Space group P6_3/mmc (No. 194)
Asymmetric unit:
Hf 0.3333 0.6667 0.0620 x4
Re 0.0000 0.0000 0.0000 x2
Re 0.1719 0.3438 0.7500 x6

=====

Diffraction record for Li3Rh. The X-ray diffraction stick pattern is computed, not measured: it uses a structure optimized by DFT (GGA-PBE) and Cu Kα X-rays.
No peak broadening, texture or thermal motion is included.

Main lines, most intense first (2θ from 10° to 90°):
- hkl 1 1 1, 2θ = 25.56°, I 100
- hkl 2 2 0, 2θ = 42.35°, I 55
- hkl 2 0 0, 2θ = 29.60°, I 51
- hkl 3 1 1, 2θ = 50.12°, I 46
- hkl 3 3 1, 2θ = 67.65°, I 18
- hkl 4 2 2, 2θ = 77.46°, I 18
- hkl 4 2 0, 2θ = 69.66°, I 17
- hkl 5 1 1, 2θ = 83.15°, I 14
- hkl 2 2 2, 2θ = 52.51°, I 13
- hkl 4 0 0, 2θ = 61.44°, I 9

Crystal structure
a = 6.037 Å, b = 6.037 Å, c = 6.037 Å
α = 90.00°, β = 90.00°, γ = 90.00°
Space group Fm-3m (No. 225)
Asymmetric unit:
Li 0.000 0.000 0.000 x4
Li 0.250 0.250 0.250 x8
Rh 0.000 0.000 0.500 x4

=====

Diffraction record for ZnCu4Sn2Se8. The X-ray diffraction stick pattern is computed, not measured: it uses a structure optimized by DFT (GGA-PBE) and Cu Kα X-rays.
No peak broadening, texture or thermal motion is included.

Main lines, most intense first (2θ from 10° to 90°):
- hkl 3 1 -2, 2θ = 27.11°, I 100
- hkl 4 2 0, 2θ = 44.99°, I 60
- hkl 1 3 2, 2θ = 53.28°, I 29
- hkl 5 1 2, 2θ = 53.44°, I 14
- hkl 6 0 -4, 2θ = 45.09°, I 12
- hkl 7 3 -2, 2θ = 72.31°, I 8
- hkl 0 4 0, 2θ = 65.44°, I 7
- hkl 2 4 4, 2θ = 82.94°, I 7
- hkl 6 4 -4, 2θ = 83.02°, I 7
- hkl 2 0 -2, 2θ = 17.39°, I 7

Crystal structure
a = 12.707 Å, b = 5.708 Å, c = 11.403 Å
α = 90.00°, β = 116.57°, γ = 90.00°
Space group C2 (No. 5)
Asymmetric unit:
Zn 0.000 0.000 0.000 x2
Cu 0.246 0.491 0.619 x4
Cu 0.247 0.010 0.870 x4
Sn 0.000 0.502 0.258 x4
Se 0.131 0.766 0.449 x4
Se 0.132 0.233 0.683 x4
Se 0.135 0.243 0.189 x4
Se 0.135 0.761 0.945 x4

=====

Diffraction record for Nb3CoS6. The X-ray diffraction stick pattern is computed, not measured: it uses a structure optimized by DFT (GGA-PBE) and Cu Kα X-rays.
No peak broadening, texture or thermal motion is included.

Main lines, most intense first (2θ from 10° to 90°):
- hkl 1 1 4, 2θ = 43.69°, I 100
- hkl 1 1 2, 2θ = 34.37°, I 56
- hkl 0 0 2, 2θ = 15.00°, I 55
- hkl 1 1 0, 2θ = 30.75°, I 43
- hkl 3 0 0, 2θ = 54.67°, I 37
- hkl 2 2 4, 2θ = 72.45°, I 21
- hkl 3 0 8, 2θ = 88.10°, I 18
- hkl 1 1 1, 2θ = 31.69°, I 17
- hkl 1 1 3, 2θ = 38.49°, I 14
- hkl 1 0 1, 2θ = 19.16°, I 13

Crystal structure
a = 5.8161 Å, b = 5.8161 Å, c = 11.8120 Å
α = 90.00°, β = 90.00°, γ = 120.00°
Space group P6_322 (No. 182)
Asymmetric unit:
Nb 0.0000 0.0000 0.0000 x2
Nb 0.3333 0.6667 0.0028 x4
Co 0.3333 0.6667 0.7500 x2
S 0.0027 0.3347 0.8671 x12

=====

Diffraction record for TmIr2. The X-ray diffraction stick pattern is computed, not measured: it uses a structure optimized by DFT (GGA-PBE) and Cu Kα X-rays.
No peak broadening, texture or thermal motion is included.

Main lines, most intense first (2θ from 10° to 90°):
- hkl 3 1 1, 2θ = 39.65°, I 100
- hkl 2 2 2, 2θ = 41.49°, I 44
- hkl 5 1 1, 2θ = 64.19°, I 33
- hkl 4 4 0, 2θ = 70.68°, I 29
- hkl 2 2 0, 2θ = 33.62°, I 23
- hkl 6 2 2, 2θ = 85.41°, I 17
- hkl 5 3 3, 2θ = 84.21°, I 12
- hkl 1 1 1, 2θ = 20.40°, I 9
- hkl 4 2 2, 2θ = 60.12°, I 9
- hkl 4 0 0, 2θ = 48.28°, I 7

Crystal structure
a = 7.540 Å, b = 7.540 Å, c = 7.540 Å
α = 90.00°, β = 90.00°, γ = 90.00°
Space group Fd-3m (No. 227, origin choice 2)
Asymmetric unit:
Tm 0.125 0.125 0.125 x8
Ir 0.000 0.000 0.500 x16

=====

Diffraction record for LiSbP2O7. The X-ray diffraction stick pattern is computed, not measured: it uses a structure optimized by DFT (GGA-PBE) and Cu Kα X-rays.
No peak broadening, texture or thermal motion is included.

Main lines, most intense first (2θ from 10° to 90°):
- hkl 0 1 2, 2θ = 23.77°, I 100
- hkl 0 2 0, 2θ = 17.29°, I 93
- hkl 1 1 -2, 2θ = 22.83°, I 85
- hkl 1 0 0, 2θ = 13.90°, I 73
- hkl 1 2 -2, 2θ = 27.40°, I 63
- hkl 1 2 1, 2θ = 27.22°, I 48
- hkl 1 3 0, 2θ = 29.64°, I 46
- hkl 2 1 0, 2θ = 29.35°, I 44
- hkl 2 1 -4, 2θ = 43.89°, I 41
- hkl 1 0 -2, 2θ = 21.10°, I 38

Crystal structure
a = 6.907 Å, b = 10.259 Å, c = 8.716 Å
α = 90.00°, β = 112.68°, γ = 90.00°
Space group P2_1/c (No. 14)
Asymmetric unit:
Li 0.249 0.085 0.257 x4
Sb 0.120 0.710 0.118 x4
P 0.151 0.097 0.829 x4
P 0.469 0.166 0.703 x4
O 0.035 0.223 0.729 x4
O 0.062 0.528 0.231 x4
O 0.127 0.108 0.994 x4
O 0.309 0.128 0.536 x4
O 0.309 0.606 0.745 x4
O 0.389 0.112 0.847 x4
O 0.482 0.687 0.255 x4